Record 1
Calculated PXRD pattern
Compound: Nd2Tm5ThSc
Radiation: Cu Kα (λ = 1.5418 Å)
Structure: a crystal structure in Alexandria, relaxed with PBE
Intensities are scaled so that the largest is 1000.

Structure:
Cell: 5.5488 22.4035 9.1823 Å, 90.00 90.00 90.00°
Space group Cmc2_1 (No. 36)
Asymmetric unit:
Nd1 0.0000 0.1155 0.0000 [4 per cell]
Nd2 0.0000 0.1392 0.5633 [4 per cell]
Tm1 0.0000 0.0017 0.2741 [4 per cell]
Tm2 0.0000 0.2658 0.9348 [4 per cell]
Tm3 0.0000 0.2974 0.5628 [4 per cell]
Tm4 0.0000 0.3870 0.2414 [4 per cell]
Tm5 0.0000 0.4797 0.5291 [4 per cell]
Th1 0.0000 0.3982 0.8285 [4 per cell]
Sc1 0.0000 0.2170 0.2615 [4 per cell]

Peak list (12 most intense, 2θ from 10° to 90°, sorted by position)
2theta, intensity, h k l
20.91, 52, 0 2 2
25.76, 64, 0 6 1
27.91, 219, 1 3 2
30.27, 64, 0 2 3
31.96, 80, 0 8 0
32.25, 1000, 2 0 0
33.72, 348, 1 1 3
46.05, 59, 2 8 0
51.69, 56, 2 0 4
57.52, 154, 3 5 2
58.47, 72, 3 1 3
67.50, 59, 4 0 0


Record 2
Calculated PXRD pattern
Compound: NdSc3Tl
Radiation: Cu Kα (λ = 1.5418 Å)
Structure: a crystal structure in Alexandria, relaxed with PBE
Intensities are scaled so that the largest is 1000.

Structure:
Cell: 13.9740 12.4469 6.2578 Å, 90.00 104.54 90.00°
Space group C2/c (No. 15)
Asymmetric unit:
Nd1 0.1062 0.0701 0.4696 [8 per cell]
Sc1 0.1054 0.1943 0.9639 [8 per cell]
Sc2 0.1918 0.3165 0.6413 [8 per cell]
Sc3 0.1948 0.4232 0.1403 [8 per cell]
Tl1 0.0000 0.3219 0.2500 [4 per cell]
Tl2 0.0000 0.4170 0.7500 [4 per cell]

Peak list (12 most intense, 2θ from 10° to 90°, sorted by position)
2theta, intensity, h k l
13.09, 649, 2 0 0
20.96, 295, 3 1 0
29.45, 160, 1 1 -2
32.68, 553, 1 1 2
33.55, 1000, 2 4 -1
33.91, 508, 5 1 0
34.44, 510, 4 0 -2
35.09, 481, 3 3 1
45.93, 173, 3 5 1
49.10, 181, 1 3 -3
50.86, 167, 7 3 -1
61.12, 185, 6 4 -3


Record 3
Calculated PXRD pattern
Compound: NdTmSc4
Radiation: Cu Kα (λ = 1.5418 Å)
Structure: a crystal structure in Alexandria, relaxed with PBE
Intensities are scaled so that the largest is 1000.

Structure:
Cell: 5.3338 10.2667 5.9504 Å, 90.00 90.00 90.00°
Space group Pmmn (No. 59, origin choice 2)
Asymmetric unit:
Nd1 0.2500 0.2500 0.0760 [2 per cell]
Tm1 0.2500 0.7500 0.5764 [2 per cell]
Sc1 0.2500 0.0791 0.5867 [4 per cell]
Sc2 0.2500 0.5801 0.0881 [4 per cell]

Peak list (12 most intense, 2θ from 10° to 90°, sorted by position)
2theta, intensity, h k l
17.26, 320, 0 2 0
24.02, 381, 1 1 1
30.09, 243, 0 0 2
33.60, 241, 2 0 0
34.57, 1000, 1 3 1
38.02, 95, 2 2 0
38.85, 78, 1 2 2
45.72, 149, 2 0 2
53.39, 123, 0 3 3
60.71, 186, 3 3 1
64.58, 135, 2 3 3
65.29, 94, 1 6 2


Record 4
Calculated PXRD pattern
Compound: Nd2Tm5Sc4
Radiation: Cu Kα (λ = 1.5418 Å)
Structure: a crystal structure in Alexandria, relaxed with PBE
Intensities are scaled so that the largest is 1000.

Structure:
Cell: 3.3721 8.6693 22.4205 Å, 90.00 90.00 90.00°
Space group Immm (No. 71)
Asymmetric unit:
Nd1 0.0000 0.0000 0.2322 [4 per cell]
Tm1 0.0000 0.1967 0.3629 [8 per cell]
Tm2 0.0000 0.5000 0.0000 [2 per cell]
Sc1 0.0000 0.0000 0.0945 [4 per cell]
Sc2 0.0000 0.3214 0.5000 [4 per cell]

Peak list (12 most intense, 2θ from 10° to 90°, sorted by position)
2theta, intensity, h k l
10.94, 263, 0 1 1
25.99, 1000, 0 2 4
29.05, 327, 1 0 3
29.52, 531, 1 1 2
29.74, 385, 0 1 7
31.93, 448, 0 0 8
33.24, 725, 0 3 3
33.92, 701, 1 2 1
37.39, 206, 1 1 6
38.78, 362, 1 0 7
44.30, 490, 1 3 4
48.09, 238, 1 3 6


Record 5
Calculated PXRD pattern
Compound: Nd2Tm12Sc
Radiation: Cu Kα (λ = 1.5418 Å)
Structure: a crystal structure in Alexandria, relaxed with PBE
Intensities are scaled so that the largest is 1000.

Structure:
Cell: 3.5282 5.4139 24.2886 Å, 90.00 91.10 90.00°
Space group P2/m (No. 10)
Asymmetric unit:
Nd1 0.2170 0.0000 0.2780 [2 per cell]
Tm1 0.2041 0.0000 0.1265 [2 per cell]
Tm2 0.2281 0.5000 0.9392 [2 per cell]
Tm3 0.2426 0.5000 0.4458 [2 per cell]
Tm4 0.2594 0.0000 0.5701 [2 per cell]
Tm5 0.2746 0.5000 0.6674 [2 per cell]
Tm6 0.2942 0.5000 0.8020 [2 per cell]
Sc1 0.5000 0.0000 0.0000 [1 per cell]

Peak list (12 most intense, 2θ from 10° to 90°, sorted by position)
2theta, intensity, h k l
29.42, 193, 0 0 8
30.41, 343, 1 1 -1
30.58, 1000, 0 1 7
31.26, 401, 1 1 2
33.09, 795, 0 2 0
33.37, 290, 1 0 -6
33.51, 303, 1 1 -4
33.90, 820, 1 1 4
47.71, 210, 1 2 -6
51.84, 221, 2 0 0
59.63, 188, 1 3 4
62.88, 224, 2 2 0


Record 6
Calculated PXRD pattern
Compound: Nd3Tm2Sc
Radiation: Cu Kα (λ = 1.5418 Å)
Structure: a crystal structure in Alexandria, relaxed with PBE
Intensities are scaled so that the largest is 1000.

Structure:
Cell: 6.1414 7.9182 8.7149 Å, 68.27 89.57 74.84°
Space group P-1 (No. 2)
Asymmetric unit:
Nd1 0.0404 0.1361 0.2857 [2 per cell]
Nd2 0.2927 0.8731 0.0426 [2 per cell]
Nd3 0.3727 0.1286 0.6257 [2 per cell]
Tm1 0.2079 0.6194 0.4611 [2 per cell]
Tm2 0.4529 0.3837 0.2043 [2 per cell]
Sc1 0.1227 0.3811 0.8750 [2 per cell]

Peak list (12 most intense, 2θ from 10° to 90°, sorted by position)
2theta, intensity, h k l
30.79, 1000, 2 1 1
30.99, 976, -1 2 1
35.78, 665, 1 3 2
35.91, 334, 2 0 -2
51.23, 120, 2 2 4
51.59, 466, -1 3 4
51.76, 116, 0 4 0
61.09, 280, 3 4 3
61.38, 208, 4 1 -1
61.48, 338, -3 2 3
64.14, 123, 4 2 2
84.05, 86, -1 4 7


Record 7
Calculated PXRD pattern
Compound: Nd3Tm6Sc2
Radiation: Cu Kα (λ = 1.5418 Å)
Structure: a crystal structure in Alexandria, relaxed with PBE
Intensities are scaled so that the largest is 1000.

Structure:
Cell: 5.5558 5.5558 37.6138 Å, 90.00 90.00 120.00°
Space group R-3m (No. 166, hexagonal axes)
Asymmetric unit:
Nd1 0.0000 0.0000 0.0000 [3 per cell]
Nd2 0.0000 0.0000 0.3796 [6 per cell]
Tm1 0.0000 0.0000 0.0947 [6 per cell]
Tm2 0.0000 0.0000 0.1871 [6 per cell]
Tm3 0.0000 0.0000 0.2808 [6 per cell]
Sc1 0.0000 0.0000 0.4622 [6 per cell]

Peak list (12 most intense, 2θ from 10° to 90°, sorted by position)
2theta, intensity, h k l
30.16, 348, 1 0 10
32.11, 701, 0 1 11
32.22, 1000, 1 1 0
44.72, 120, 0 2 10
46.13, 257, 2 0 11
56.18, 123, 2 1 10
57.42, 461, 3 0 0
61.61, 233, 1 1 21
67.43, 119, 2 2 0
76.65, 115, 3 1 11
80.36, 110, 3 0 21
89.23, 88, 2 2 21


Record 8
Calculated PXRD pattern
Compound: Nd12Tm2Sc
Radiation: Cu Kα (λ = 1.5418 Å)
Structure: a crystal structure in Alexandria, relaxed with PBE
Intensities are scaled so that the largest is 1000.

Structure:
Cell: 7.1938 11.5690 24.8482 Å, 90.00 90.00 90.00°
Space group Cmme (No. 67)
Asymmetric unit:
Nd1 0.0000 0.0015 0.0713 [8 per cell]
Nd2 0.0000 0.0243 0.5606 [8 per cell]
Nd3 0.2307 0.2500 0.4126 [8 per cell]
Nd4 0.2489 0.2500 0.8737 [8 per cell]
Nd5 0.2500 0.0000 0.1965 [8 per cell]
Nd6 0.2500 0.0000 0.3226 [8 per cell]
Tm1 0.0000 0.2500 0.2644 [4 per cell]
Tm2 0.0000 0.2500 0.7320 [4 per cell]
Sc1 0.0000 0.2500 0.9994 [4 per cell]

Peak list (12 most intense, 2θ from 10° to 90°, sorted by position)
2theta, intensity, h k l
28.69, 285, 2 0 4
29.52, 325, 0 2 7
30.13, 935, 2 2 2
30.92, 658, 0 4 0
32.70, 1000, 0 2 8
32.98, 169, 2 0 6
36.55, 294, 2 2 6
50.76, 167, 4 0 0
54.50, 164, 2 6 2
56.13, 199, 0 6 8
60.63, 186, 4 4 0
61.72, 203, 4 2 8


Record 9
Calculated PXRD pattern
Compound: Nd2Tm9Sc
Radiation: Cu Kα (λ = 1.5418 Å)
Structure: a crystal structure in Alexandria, relaxed with PBE
Intensities are scaled so that the largest is 1000.

Structure:
Cell: 4.9578 4.9578 14.8443 Å, 90.00 90.00 90.00°
Space group P4/mmm (No. 123)
Asymmetric unit:
Nd1 0.0000 0.0000 0.1680 [2 per cell]
Tm1 0.0000 0.5000 0.0000 [2 per cell]
Tm2 0.0000 0.5000 0.3398 [4 per cell]
Tm3 0.5000 0.5000 0.1703 [2 per cell]
Tm4 0.5000 0.5000 0.5000 [1 per cell]
Sc1 0.0000 0.0000 0.5000 [1 per cell]

Peak list (12 most intense, 2θ from 10° to 90°, sorted by position)
2theta, intensity, h k l
17.90, 23, 1 0 0
25.42, 21, 1 1 0
31.27, 1000, 1 1 3
36.26, 504, 2 0 0
52.22, 354, 2 2 0
62.14, 417, 3 1 3
65.23, 120, 2 2 6
76.92, 38, 4 0 0
77.10, 17, 0 0 12
85.41, 172, 3 3 3
88.14, 111, 4 2 0
88.29, 51, 2 0 12


Record 10
Calculated PXRD pattern
Compound: Nd2Tm7Sc2
Radiation: Cu Kα (λ = 1.5418 Å)
Structure: a crystal structure in Alexandria, relaxed with PBE
Intensities are scaled so that the largest is 1000.

Structure:
Cell: 3.5177 17.0256 11.4456 Å, 90.00 90.00 90.00°
Space group Imm2 (No. 44)
Asymmetric unit:
Nd1 0.0000 0.2087 0.0000 [4 per cell]
Tm1 0.0000 0.0000 0.0924 [2 per cell]
Tm2 0.0000 0.1102 0.5132 [4 per cell]
Tm3 0.0000 0.3340 0.7540 [4 per cell]
Tm4 0.0000 0.3362 0.2504 [4 per cell]
Sc1 0.0000 0.0000 0.7824 [2 per cell]
Sc2 0.0000 0.5000 0.8390 [2 per cell]

Peak list (12 most intense, 2θ from 10° to 90°, sorted by position)
2theta, intensity, h k l
10.39, 241, 0 2 0
27.33, 466, 0 5 1
30.28, 760, 1 1 2
31.26, 455, 0 0 4
33.03, 230, 0 2 4
33.82, 1000, 1 3 2
33.98, 392, 1 4 1
35.31, 506, 0 6 2
51.99, 180, 2 0 0
55.11, 316, 1 9 0
57.29, 350, 1 3 6
64.75, 209, 1 9 4


Record 11
Calculated PXRD pattern
Compound: Nd4Tm10Sc
Radiation: Cu Kα (λ = 1.5418 Å)
Structure: a crystal structure in Alexandria, relaxed with PBE
Intensities are scaled so that the largest is 1000.

Structure:
Cell: 11.1763 11.1763 7.7874 Å, 90.00 90.00 90.00°
Space group I4/mmm (No. 139)
Asymmetric unit:
Nd1 0.2275 0.2275 0.0000 [8 per cell]
Tm1 0.0000 0.2073 0.2912 [16 per cell]
Tm2 0.0000 0.5000 0.2500 [4 per cell]
Sc1 0.0000 0.0000 0.0000 [2 per cell]

Peak list (12 most intense, 2θ from 10° to 90°, sorted by position)
2theta, intensity, h k l
22.84, 259, 0 0 2
25.20, 420, 3 1 0
27.93, 708, 2 0 2
31.05, 373, 3 2 1
32.03, 1000, 4 0 0
32.28, 878, 2 2 2
34.03, 331, 3 3 0
34.27, 363, 3 1 2
41.38, 501, 3 3 2
54.15, 259, 5 0 3
67.28, 229, 3 2 5
68.30, 317, 7 3 2


Record 12
Calculated PXRD pattern
Compound: Nd5Tm4Sc3
Radiation: Cu Kα (λ = 1.5418 Å)
Structure: a crystal structure in Alexandria, relaxed with PBE
Intensities are scaled so that the largest is 1000.

Structure:
Cell: 18.1356 5.6008 8.2362 Å, 90.00 115.85 90.00°
Space group C2/m (No. 12)
Asymmetric unit:
Nd1 0.0000 0.0000 0.0000 [2 per cell]
Nd2 0.1211 0.5000 0.4194 [4 per cell]
Nd3 0.1986 0.0000 0.7026 [4 per cell]
Tm1 0.1312 0.5000 0.8527 [4 per cell]
Tm2 0.1858 0.0000 0.1828 [4 per cell]
Sc1 0.0000 0.5000 0.0000 [2 per cell]
Sc2 0.0072 0.0000 0.6695 [4 per cell]

Peak list (12 most intense, 2θ from 10° to 90°, sorted by position)
2theta, intensity, h k l
27.35, 277, 1 1 -2
27.52, 334, 3 1 -2
30.53, 160, 2 0 2
31.17, 135, 6 0 -2
31.35, 443, 1 1 2
31.76, 1000, 5 1 0
31.96, 542, 0 2 0
32.95, 160, 6 0 0
43.98, 120, 4 0 -4
46.56, 120, 6 2 0
55.39, 145, 4 2 -4
56.83, 199, 5 3 0